This entry pairs a crystal structure of Tm2Sn2O7 with its theoretical powder diffractogram. Radiation: Cu Kα (weighted mean of Kα1 and Kα2). Structure: the GGA-PBE geometry in the Materials Project.
Kinematic intensities with the Lorentz-polarization factor, no thermal factor.

Structural model:
```
22
Lattice="0.0000 5.2081 5.2081 5.2081 0.0000 5.2081 5.2081 5.2081 0.0000" Properties=species:S:1:pos:R:3 pbc="T T T"
Tm 0.0000 0.0000 0.0000
Tm 2.6041 2.6041 0.0000
Tm 2.6041 0.0000 2.6041
Tm 0.0000 2.6041 2.6041
Sn 5.2081 2.6041 2.6041
Sn 2.6041 5.2081 2.6041
Sn 2.6041 2.6041 5.2081
Sn 5.2081 5.2081 5.2081
O 1.3020 1.3020 1.3020
O 3.9061 3.9061 1.6517
O 3.9061 1.6517 3.9061
O 6.1605 3.9061 3.9061
O 6.5101 6.5101 4.2557
O 6.5101 4.2557 6.5101
O 8.7645 6.5101 6.5101
O 1.6517 3.9061 3.9061
O 3.9061 6.1605 3.9061
O 3.9061 3.9061 6.1605
O 4.2557 6.5101 6.5101
O 6.5101 8.7645 6.5101
O 6.5101 6.5101 8.7645
O 9.1142 9.1142 9.1142
```

Main lines, low angle first (10° ≤ 2θ ≤ 90°):
d/Å  I_rel
6.014  3.0
3.141  0.9
3.007  100.0
2.604  34.0
2.390  3.0
2.005  1.1
1.841  48.5
1.570  44.8
1.503  10.2
1.302  7.3
1.195  18.8
1.165  14.9